(1)
For MoOsRu4Rh2, a GGA-PBE-relaxed structure gives the computed X-ray diffraction stick pattern in this record (Cu Kα, 1.54184 Å).
Kinematic intensities with the Lorentz-polarization factor, no thermal factor.

Structural model:
```
data_MoOsRu4Rh2
_chemical_formula_sum 'Mo4 Os4 Ru16 Rh8'
_cell_length_a 5.456
_cell_length_b 7.681
_cell_length_c 10.913
_cell_angle_alpha 90.00
_cell_angle_beta 90.00
_cell_angle_gamma 90.00
_symmetry_space_group_name_H-M 'I m m 2'
_symmetry_Int_Tables_number 44
loop_
_symmetry_equiv_pos_as_xyz
'x,y,z'
'-x,-y,z'
'-x,y,z'
'x,-y,z'
'x+1/2,y+1/2,z+1/2'
'-x+1/2,-y+1/2,z+1/2'
'-x+1/2,y+1/2,z+1/2'
'x+1/2,-y+1/2,z+1/2'
loop_
_atom_site_label
_atom_site_type_symbol
_atom_site_fract_x
_atom_site_fract_y
_atom_site_fract_z
Mo1 Mo 0.247 0.000 0.000
Os1 Os 0.000 0.248 0.873
Ru1 Ru 0.000 0.248 0.123
Ru2 Ru 0.000 0.252 0.629
Ru3 Ru 0.244 0.000 0.752
Ru4 Ru 0.248 0.500 0.747
Rh1 Rh 0.000 0.252 0.373
Rh2 Rh 0.247 0.500 0.000
```

Top 8 peaks for 10 to 90 degrees two-theta, by angle:
2θ/deg, d_spacing, Rel. int., hkl
40.6, 2.224, 100, 2 2 0
47.1, 1.929, 32, 2 0 4
47.3, 1.920, 16, 0 4 0
68.8, 1.364, 10, 4 0 0
69.0, 1.361, 20, 2 4 4
83.1, 1.163, 24, 4 2 4
83.4, 1.159, 12, 2 6 0
87.8, 1.112, 11, 4 4 0


(2)
For Na2VSnCl8, a GGA-PBE-relaxed structure gives the computed X-ray diffraction stick pattern in this record (Cu Kα, 1.54184 Å).
Kinematic intensities with the Lorentz-polarization factor, no thermal factor.

Structural model:
```
data_Na2VSnCl8
_chemical_formula_sum 'Na2 V1 Sn1 Cl8'
_cell_length_a 6.217
_cell_length_b 7.945
_cell_length_c 6.510
_cell_angle_alpha 90.00
_cell_angle_beta 93.63
_cell_angle_gamma 90.00
_symmetry_space_group_name_H-M 'P 1 2/m 1'
_symmetry_Int_Tables_number 10
loop_
_symmetry_equiv_pos_as_xyz
'x,y,z'
'-x,-y,-z'
'-x,y,-z'
'x,-y,z'
loop_
_atom_site_label
_atom_site_type_symbol
_atom_site_fract_x
_atom_site_fract_y
_atom_site_fract_z
Na1 Na 0.000 0.240 0.000
V1 V 0.500 0.000 0.500
Sn1 Sn 0.500 0.500 0.500
Cl1 Cl 0.226 0.500 0.175
Cl2 Cl 0.260 0.000 0.207
Cl3 Cl 0.296 0.216 0.647
```

Top 8 peaks for 10 to 90 degrees two-theta, by angle:
2θ/deg, d_spacing, Rel. int., hkl
13.6, 6.497, 65, 0 0 1
14.3, 6.205, 59, 1 0 0
19.1, 4.636, 89, 1 0 -1
20.4, 4.352, 52, 1 0 1
29.6, 3.016, 100, 1 2 -1
31.9, 2.806, 38, 1 0 2
38.7, 2.327, 55, 2 2 -1
47.8, 1.901, 48, 0 2 3


(3)
For CsLiAg2F8, a GGA-PBE-relaxed structure gives the computed X-ray diffraction stick pattern in this record (Cu Kα, 1.54184 Å).
Kinematic intensities with the Lorentz-polarization factor, no thermal factor.

Structural model:
```
data_CsLiAg2F8
_chemical_formula_sum 'Cs3 Li3 Ag6 F24'
_cell_length_a 5.7409
_cell_length_b 5.7409
_cell_length_c 21.6841
_cell_angle_alpha 90.00
_cell_angle_beta 90.00
_cell_angle_gamma 120.00
_symmetry_space_group_name_H-M 'R -3'
_symmetry_Int_Tables_number 148
_symmetry_space_group_name_Hall '-R 3'
loop_
_atom_site_label
_atom_site_type_symbol
_atom_site_fract_x
_atom_site_fract_y
_atom_site_fract_z
Cs1 Cs 0.0000 0.0000 0.0000
Li1 Li 0.0000 0.0000 0.5000
Ag1 Ag 0.0000 0.0000 0.1947
F1 F 0.0000 0.0000 0.2901
F2 F 0.0219 0.3925 0.7907
```

Top 8 peaks for 10 to 90 degrees two-theta, by angle:
2θ/deg, d_spacing, Rel. int., hkl
12.2, 7.228, 37, 0 0 3
18.3, 4.846, 100, 1 0 1
24.3, 3.664, 43, 1 0 4
27.3, 3.268, 82, 0 1 5
31.2, 2.870, 85, 1 1 0
40.1, 2.248, 48, 1 1 6
41.9, 2.157, 39, 2 0 5
45.6, 1.988, 32, 1 0 10


(4)
For CeAsH2Ru2, a GGA-PBE-relaxed structure gives the computed X-ray diffraction stick pattern in this record (Cu Kα, 1.54184 Å).
Kinematic intensities with the Lorentz-polarization factor, no thermal factor.

Structural model:
```
data_CeAsH2Ru2
_chemical_formula_sum 'Ce4 As4 H8 Ru8'
_cell_length_a 5.797
_cell_length_b 9.870
_cell_length_c 5.770
_cell_angle_alpha 90.00
_cell_angle_beta 90.00
_cell_angle_gamma 90.00
_symmetry_space_group_name_H-M 'C m c m'
_symmetry_Int_Tables_number 63
_symmetry_space_group_name_Hall '-C 2c 2'
loop_
_atom_site_label
_atom_site_type_symbol
_atom_site_fract_x
_atom_site_fract_y
_atom_site_fract_z
Ce1 Ce 0.000 0.234 0.250
As1 As 0.000 0.128 0.750
H1 H 0.167 0.399 0.750
Ru1 Ru 0.220 0.500 0.000
```

Top 8 peaks for 10 to 90 degrees two-theta, by angle:
2θ/deg, d_spacing, Rel. int., hkl
23.5, 3.778, 30, 1 1 1
35.0, 2.564, 56, 1 3 1
35.9, 2.499, 100, 2 2 0
36.1, 2.491, 89, 0 2 2
36.4, 2.468, 24, 0 4 0
44.3, 2.045, 69, 2 0 2
64.6, 1.443, 24, 0 0 4
65.3, 1.430, 24, 0 6 2


Question: Which formula does entry 4 have?
Answer: CeAsH2Ru2